The following is a calculated powder diffraction line list of LaHg. It was derived from a cell relaxed with GGA-PBE, using Cu Kα.

Atomic structure:
abc: 3.9171 3.9171 3.9171
angles: 90.00 90.00 90.00
Space group Pm-3m (No. 221)
Asymmetric unit:
La: 0.0000 0.0000 0.0000 x1
Hg: 0.5000 0.5000 0.5000 x1

Most intense lines, 2θ = 10–90°, low angle first:
22.7°, intensity 4, hkl 1 0 0; 32.3°, intensity 100, hkl 1 1 0; 39.9°, intensity 1, hkl 1 1 1; 46.4°, intensity 19, hkl 2 0 0; 52.2°, intensity 2, hkl 2 1 0; 57.6°, intensity 39, hkl 2 1 1; 67.7°, intensity 12, hkl 2 2 0; 72.4°, intensity 1, hkl 3 0 0; 77.0°, intensity 17, hkl 3 1 0; 86.0°, intensity 4, hkl 2 2 2